Simulated powder XRD pattern of DyEr2Tm2Lu2Fe2Te2 for Cu Kα X-rays, from DFT lattice parameters and positions (PBE).

Structure:
a = 3.8297 Å, b = 15.4567 Å, c = 9.2278 Å
α = 90.00°, β = 90.00°, γ = 90.00°
Space group Imm2 (No. 44)
Symmetry-distinct sites (fractional):
1 Dy 0.0000 0.0000 0.0000
2 Er 0.0000 0.3496 0.7332
3 Tm 0.0000 0.1373 0.5829
4 Lu 0.0000 0.3128 0.3738
5 Fe 0.0000 0.2357 0.0673
6 Te 0.0000 0.0000 0.3381
7 Te 0.0000 0.5000 0.2330

Top 10 peaks for 5° ≤ 2θ ≤ 70°, in order of falling intensity:
hkl	2theta	Rel. int.
1 4 1	34.37	100
0 3 3	33.94	85
1 3 2	35.08	63
1 1 2	30.89	55
2 3 3	59.64	34
2 0 0	47.48	33
0 6 0	34.83	30
1 3 0	29.05	24
1 0 3	37.50	24
0 5 1	30.50	22


Simulated powder XRD pattern of DyY2Er2Lu2Fe2Te2 for Cu Kα X-rays, from DFT lattice parameters and positions (PBE).

Structure:
a = 3.8640 Å, b = 15.5819 Å, c = 9.2591 Å
α = 90.00°, β = 90.00°, γ = 90.00°
Space group Imm2 (No. 44)
Symmetry-distinct sites (fractional):
1 Dy 0.0000 0.0000 0.0000
2 Y 0.0000 0.3493 0.2629
3 Er 0.0000 0.1363 0.4150
4 Lu 0.0000 0.3136 0.6230
5 Fe 0.0000 0.2378 0.9334
6 Te 0.0000 0.0000 0.6621
7 Te 0.0000 0.5000 0.7651

Top 10 peaks for 5° ≤ 2θ ≤ 70°, in order of falling intensity:
hkl	2theta	Rel. int.
1 4 1	34.09	100
0 3 3	33.78	82
1 3 2	34.83	79
1 1 2	30.68	51
2 0 0	47.05	38
2 3 3	59.16	33
0 6 0	34.54	29
0 5 1	30.26	28
1 0 1	24.97	26
1 0 3	37.29	23


Simulated powder XRD pattern of DyEr2Fe3Ni6 for Cu Kα X-rays, from DFT lattice parameters and positions (PBE).

Structure:
a = 5.0190 Å, b = 5.0190 Å, c = 23.9152 Å
α = 90.00°, β = 90.00°, γ = 120.00°
Space group R-3m (No. 166, hexagonal axes)
Symmetry-distinct sites (fractional):
1 Dy 0.0000 0.0000 0.0000
2 Er 0.0000 0.0000 0.1392
3 Fe 0.0000 0.0000 0.3334
4 Fe 0.0000 0.0000 0.5000
5 Ni 0.0012 0.5006 0.9170

Top 10 peaks for 5° ≤ 2θ ≤ 70°, in order of falling intensity:
hkl	2theta	Rel. int.
1 1 6	42.57	100
1 1 0	35.78	58
1 0 7	33.36	56
0 2 1	41.73	46
0 1 8	36.48	44
3 0 6	68.96	23
2 1 7	62.76	19
1 2 8	64.75	16
2 0 5	45.86	16
1 0 1	20.77	15